(1)
Theoretical powder diffraction line list of Ca2ZrTiO6 for Cu Kα, from DFT lattice parameters and positions (GGA-PBE).
Peak positions follow from Bragg's law for the DFT cell and can differ from measured ones.

The 12 most intense peaks (10 to 90 degrees two-theta), by intensity:
- 31.4 deg, intensity 1000, (2 2 0)
- 45.1 deg, intensity 480, (4 0 0)
- 56.0 deg, intensity 366, (4 2 2)
- 22.1 deg, intensity 282, (2 0 0)
- 65.6 deg, intensity 264, (4 4 0)
- 74.6 deg, intensity 154, (6 2 0)
- 50.7 deg, intensity 102, (4 2 0)
- 19.1 deg, intensity 97, (1 1 1)
- 83.2 deg, intensity 83, (4 4 4)
- 37.1 deg, intensity 78, (3 1 1)
- 49.4 deg, intensity 44, (3 3 1)
- 70.2 deg, intensity 43, (6 0 0)

```
data_Ca2ZrTiO6
_chemical_formula_sum 'Ca8 Zr4 Ti4 O24'
_cell_length_a 8.047
_cell_length_b 8.047
_cell_length_c 8.047
_cell_angle_alpha 90.00
_cell_angle_beta 90.00
_cell_angle_gamma 90.00
_symmetry_space_group_name_H-M 'F m -3 m'
_symmetry_Int_Tables_number 225
_symmetry_space_group_name_Hall '-F 4 2 3'
loop_
_atom_site_label
_atom_site_fract_x
_atom_site_fract_y
_atom_site_fract_z
Ca1 0.250 0.250 0.250
Zr1 0.000 0.000 0.000
Ti1 0.000 0.000 0.500
O1 0.000 0.000 0.258
```


(2)
Theoretical powder diffraction line list of Ca3TlO5 for Cu Kα, from DFT lattice parameters and positions (GGA-PBE).
Peak positions follow from Bragg's law for the DFT cell and can differ from measured ones.

The 12 most intense peaks (10 to 90 degrees two-theta), by intensity:
- 30.6 deg, intensity 1000, (0 2 4)
- 13.0 deg, intensity 623, (0 0 2)
- 38.1 deg, intensity 515, (1 3 2)
- 15.6 deg, intensity 353, (0 2 0)
- 20.4 deg, intensity 328, (0 2 2)
- 48.9 deg, intensity 215, (1 1 6)
- 54.3 deg, intensity 214, (2 0 0)
- 27.6 deg, intensity 200, (1 1 0)
- 63.7 deg, intensity 185, (0 4 8)
- 35.7 deg, intensity 168, (1 3 0)
- 31.6 deg, intensity 165, (0 4 0)
- 50.3 deg, intensity 152, (1 5 2)

```
data_Ca3TlO5
_chemical_formula_sum 'Ca12 Tl4 O20'
_cell_length_a 3.377
_cell_length_b 11.332
_cell_length_c 13.647
_cell_angle_alpha 90.00
_cell_angle_beta 90.00
_cell_angle_gamma 90.00
_symmetry_space_group_name_H-M 'C m c m'
_symmetry_Int_Tables_number 63
_symmetry_space_group_name_Hall '-C 2c 2'
loop_
_atom_site_label
_atom_site_fract_x
_atom_site_fract_y
_atom_site_fract_z
Ca1 0.000 0.028 0.250
Ca2 0.000 0.229 0.613
Tl1 0.000 0.500 0.000
O1 0.000 0.139 0.048
O2 0.000 0.334 0.750
O3 0.000 0.416 0.145
```